Structure and calculated powder XRD pattern of Tb3RuO7 (a crystal structure in the Materials Project, relaxed with GGA-PBE; Cu Kα (weighted mean of Kα1 and Kα2)).
Peak positions follow from Bragg's law for the DFT cell and can differ from measured ones.

Principal peaks in the range 10 to 80 degrees two-theta, in order of rising 2θ:
| 2θ (°) | I/Imax |
| --- | --- |
| 27.13 | 12 |
| 29.39 | 100 |
| 29.67 | 87 |
| 32.07 | 12 |
| 33.95 | 21 |
| 34.37 | 43 |
| 46.37 | 11 |
| 49.07 | 63 |
| 54.41 | 10 |
| 58.37 | 26 |
| 58.83 | 18 |
| 79.46 | 14 |

Crystal structure
a = 6.4291 Å, b = 6.4291 Å, c = 7.4297 Å
α = 90.00°, β = 90.00°, γ = 69.52°
Element x y z (fractional)
1 Tb 0.0000 0.0000 0.0000
2 Tb 0.0000 0.0000 0.5000
3 Tb 0.0739 0.4786 0.7500
4 Tb 0.4786 0.0739 0.2500
5 Tb 0.5214 0.9261 0.7500
6 Tb 0.9261 0.5214 0.2500
7 Ru 0.5000 0.5000 0.0000
8 Ru 0.5000 0.5000 0.5000
9 O 0.1088 0.1570 0.2500
10 O 0.1570 0.1088 0.7500
11 O 0.1808 0.5630 0.0388
12 O 0.1808 0.5630 0.4612
13 O 0.4107 0.5893 0.7500
14 O 0.4370 0.8192 0.0388
15 O 0.4370 0.8192 0.4612
16 O 0.5630 0.1808 0.5388
17 O 0.5630 0.1808 0.9612
18 O 0.5893 0.4107 0.2500
19 O 0.8192 0.4370 0.5388
20 O 0.8192 0.4370 0.9612
21 O 0.8430 0.8912 0.2500
22 O 0.8912 0.8430 0.7500


Structure and calculated powder XRD pattern of Tl2Ru2O7 (a crystal structure in the Materials Project, relaxed with GGA-PBE; Cu Kα (weighted mean of Kα1 and Kα2)).
Peak positions follow from Bragg's law for the DFT cell and can differ from measured ones.

Principal peaks in the range 10 to 80 degrees two-theta, in order of rising 2θ:
| 2θ (°) | I/Imax |
| --- | --- |
| 14.78 | 9 |
| 28.51 | 5 |
| 29.81 | 100 |
| 34.55 | 37 |
| 37.76 | 9 |
| 45.39 | 4 |
| 49.67 | 44 |
| 52.11 | 3 |
| 59.01 | 44 |
| 61.91 | 11 |
| 69.54 | 2 |
| 72.88 | 7 |

Crystal structure
a = 7.3423 Å, b = 7.3423 Å, c = 7.3423 Å
α = 60.00°, β = 60.00°, γ = 60.00°
Element x y z (fractional)
1 Tl 0.0000 0.0000 0.0000
2 Tl 0.0000 0.0000 0.5000
3 Tl 0.0000 0.5000 0.0000
4 Tl 0.5000 0.0000 0.0000
5 Ru 0.0000 0.5000 0.5000
6 Ru 0.5000 0.0000 0.5000
7 Ru 0.5000 0.5000 0.0000
8 Ru 0.5000 0.5000 0.5000
9 O 0.1250 0.1250 0.1250
10 O 0.1793 0.1793 0.5707
11 O 0.1793 0.5707 0.1793
12 O 0.1793 0.5707 0.5707
13 O 0.4293 0.4293 0.8207
14 O 0.4293 0.8207 0.4293
15 O 0.4293 0.8207 0.8207
16 O 0.5707 0.1793 0.1793
17 O 0.5707 0.1793 0.5707
18 O 0.5707 0.5707 0.1793
19 O 0.8207 0.4293 0.4293
20 O 0.8207 0.4293 0.8207
21 O 0.8207 0.8207 0.4293
22 O 0.8750 0.8750 0.8750


Structure and calculated powder XRD pattern of Tm2Ru2O7 (a crystal structure in the Materials Project, relaxed with GGA-PBE; Cu Kα (weighted mean of Kα1 and Kα2)).
Peak positions follow from Bragg's law for the DFT cell and can differ from measured ones.

Principal peaks in the range 10 to 80 degrees two-theta, in order of rising 2θ:
| 2θ (°) | I/Imax |
| --- | --- |
| 15.15 | 6 |
| 29.23 | 2 |
| 30.56 | 100 |
| 35.44 | 33 |
| 38.74 | 5 |
| 46.58 | 2 |
| 50.99 | 47 |
| 53.51 | 2 |
| 60.62 | 42 |
| 63.63 | 10 |
| 65.83 | 1 |
| 74.99 | 7 |

Crystal structure
a = 7.1644 Å, b = 7.1644 Å, c = 7.1644 Å
α = 60.00°, β = 60.00°, γ = 60.00°
Element x y z (fractional)
1 Tm 0.0000 0.0000 0.0000
2 Tm 0.0000 0.0000 0.5000
3 Tm 0.0000 0.5000 0.0000
4 Tm 0.5000 0.0000 0.0000
5 Ru 0.0000 0.5000 0.5000
6 Ru 0.5000 0.0000 0.5000
7 Ru 0.5000 0.5000 0.0000
8 Ru 0.5000 0.5000 0.5000
9 O 0.1250 0.1250 0.1250
10 O 0.1624 0.1624 0.5876
11 O 0.1624 0.5876 0.1624
12 O 0.1624 0.5876 0.5876
13 O 0.4124 0.4124 0.8376
14 O 0.4124 0.8376 0.4124
15 O 0.4124 0.8376 0.8376
16 O 0.5876 0.1624 0.1624
17 O 0.5876 0.1624 0.5876
18 O 0.5876 0.5876 0.1624
19 O 0.8376 0.4124 0.4124
20 O 0.8376 0.4124 0.8376
21 O 0.8376 0.8376 0.4124
22 O 0.8750 0.8750 0.8750


Structure and calculated powder XRD pattern of SO5 (a crystal structure in the Materials Project, relaxed with GGA-PBE; Cu Kα (weighted mean of Kα1 and Kα2)).
Peak positions follow from Bragg's law for the DFT cell and can differ from measured ones.

Principal peaks in the range 10 to 80 degrees two-theta, in order of rising 2θ:
| 2θ (°) | I/Imax |
| --- | --- |
| 16.44 | 39 |
| 17.77 | 41 |
| 19.43 | 29 |
| 23.05 | 100 |
| 23.68 | 48 |
| 25.88 | 36 |
| 26.70 | 13 |
| 29.49 | 55 |
| 30.53 | 14 |
| 33.24 | 21 |
| 36.80 | 9 |
| 38.58 | 11 |

Crystal structure
a = 8.0480 Å, b = 6.6772 Å, c = 9.7872 Å
α = 90.00°, β = 111.03°, γ = 90.00°
Element x y z (fractional)
1 S 0.2354 0.1839 0.4770
2 S 0.2354 0.3161 0.9770
3 S 0.7646 0.6839 0.0230
4 S 0.7646 0.8161 0.5230
5 O 0.1217 0.1977 0.0295
6 O 0.1217 0.3023 0.5295
7 O 0.1632 0.0181 0.3807
8 O 0.1632 0.4819 0.8807
9 O 0.2492 0.7273 0.1841
10 O 0.2492 0.7727 0.6841
11 O 0.3120 0.5581 0.2142
12 O 0.3120 0.9419 0.7142
13 O 0.4190 0.2390 0.5141
14 O 0.4190 0.2610 0.0141
15 O 0.5810 0.7390 0.9859
16 O 0.5810 0.7610 0.4859
17 O 0.6880 0.0581 0.2858
18 O 0.6880 0.4419 0.7858
19 O 0.7508 0.2273 0.3159
20 O 0.7508 0.2727 0.8159
21 O 0.8368 0.5181 0.1193
22 O 0.8368 0.9819 0.6193
23 O 0.8783 0.6977 0.4705
24 O 0.8783 0.8023 0.9705


Structure and calculated powder XRD pattern of SO12 (a crystal structure in the Materials Project, relaxed with GGA-PBE; Cu Kα (weighted mean of Kα1 and Kα2)).
Peak positions follow from Bragg's law for the DFT cell and can differ from measured ones.

Principal peaks in the range 10 to 80 degrees two-theta, in order of rising 2θ:
| 2θ (°) | I/Imax |
| --- | --- |
| 12.27 | 34 |
| 17.38 | 21 |
| 23.58 | 27 |
| 23.80 | 20 |
| 23.93 | 28 |
| 24.70 | 100 |
| 24.95 | 16 |
| 25.31 | 38 |
| 26.38 | 20 |
| 29.15 | 45 |
| 29.54 | 36 |
| 34.45 | 16 |

Crystal structure
a = 11.7980 Å, b = 11.7980 Å, c = 7.0430 Å
α = 105.44°, β = 105.44°, γ = 37.89°
Element x y z (fractional)
1 S 0.1106 0.1106 0.3081
2 S 0.8894 0.8894 0.6919
3 O 0.0837 0.7463 0.7579
4 O 0.1041 0.2261 0.2579
5 O 0.1625 0.6750 0.1919
6 O 0.2537 0.9163 0.2421
7 O 0.2903 0.2086 0.9027
8 O 0.3074 0.6152 0.2681
9 O 0.3250 0.8375 0.8081
10 O 0.3602 0.3373 0.5120
11 O 0.3608 0.1794 0.0828
12 O 0.3663 0.0660 0.7774
13 O 0.3799 0.3231 0.6881
14 O 0.3848 0.6926 0.7319
15 O 0.6627 0.6398 0.4880
16 O 0.6769 0.6201 0.3119
17 O 0.6988 0.2220 0.1516
18 O 0.7650 0.0746 0.1604
19 O 0.7739 0.8959 0.7421
20 O 0.7780 0.3012 0.8484
21 O 0.7914 0.7097 0.0973
22 O 0.8100 0.0281 0.5793
23 O 0.8206 0.6392 0.9172
24 O 0.9254 0.2350 0.8396
25 O 0.9340 0.6337 0.2226
26 O 0.9719 0.1900 0.4207


Structure and calculated powder XRD pattern of SO5 (a crystal structure in the Materials Project, relaxed with GGA-PBE; Cu Kα (weighted mean of Kα1 and Kα2)).
Peak positions follow from Bragg's law for the DFT cell and can differ from measured ones.

Principal peaks in the range 10 to 80 degrees two-theta, in order of rising 2θ:
| 2θ (°) | I/Imax |
| --- | --- |
| 16.52 | 92 |
| 18.49 | 100 |
| 20.77 | 39 |
| 21.23 | 36 |
| 24.49 | 34 |
| 24.71 | 71 |
| 26.67 | 61 |
| 27.94 | 74 |
| 31.02 | 32 |
| 31.54 | 55 |
| 36.07 | 44 |
| 44.35 | 31 |

Crystal structure
a = 6.6839 Å, b = 6.8906 Å, c = 8.5553 Å
α = 90.00°, β = 90.00°, γ = 90.00°
Element x y z (fractional)
1 S 0.2229 0.0854 0.0626
2 S 0.2771 0.9146 0.5626
3 S 0.7229 0.4146 0.9374
4 S 0.7771 0.5854 0.4374
5 O 0.0357 0.9711 0.0698
6 O 0.1002 0.0424 0.5548
7 O 0.2179 0.2179 0.9279
8 O 0.2377 0.1978 0.2163
9 O 0.2445 0.4832 0.1646
10 O 0.2555 0.5168 0.6646
11 O 0.2623 0.8022 0.7163
12 O 0.2821 0.7821 0.4279
13 O 0.3998 0.9576 0.0548
14 O 0.4643 0.0289 0.5698
15 O 0.5357 0.5289 0.9302
16 O 0.6002 0.4576 0.4452
17 O 0.7179 0.2821 0.0721
18 O 0.7377 0.3022 0.7837
19 O 0.7445 0.0168 0.8354
20 O 0.7555 0.9832 0.3354
21 O 0.7623 0.6978 0.2837
22 O 0.7821 0.7179 0.5721
23 O 0.8998 0.5424 0.9452
24 O 0.9643 0.4711 0.4302


Structure and calculated powder XRD pattern of SO2 (a crystal structure in the Materials Project, relaxed with GGA-PBE; Cu Kα (weighted mean of Kα1 and Kα2)).
Peak positions follow from Bragg's law for the DFT cell and can differ from measured ones.

Principal peaks in the range 10 to 80 degrees two-theta, in order of rising 2θ:
| 2θ (°) | I/Imax |
| --- | --- |
| 22.93 | 100 |
| 25.50 | 24 |
| 26.64 | 8 |
| 27.45 | 5 |
| 30.58 | 6 |
| 32.72 | 11 |
| 37.21 | 6 |
| 37.81 | 6 |
| 38.63 | 6 |
| 43.43 | 6 |
| 46.85 | 6 |
| 61.09 | 5 |

Crystal structure
a = 6.6913 Å, b = 4.7713 Å, c = 4.7713 Å
α = 85.85°, β = 90.00°, γ = 90.00°
Element x y z (fractional)
1 S 0.0000 0.0000 0.0000
2 S 0.5000 0.5000 0.5000
3 O 0.1265 0.2466 0.9686
4 O 0.3735 0.7466 0.4686
5 O 0.6265 0.4686 0.7466
6 O 0.8735 0.9686 0.2466